[1]
# MgCdIn4
Computed powder X-ray diffraction pattern, CuKα. Input: a GGA-PBE-relaxed structure.

Top 8 peaks for 2θ = 10–80°, in order of rising 2θ:
- 31.71°, d 2.821, intensity 50
- 33.28°, d 2.692, intensity 100
- 35.03°, d 2.562, intensity 42
- 38.38°, d 2.345, intensity 32
- 38.84°, d 2.318, intensity 61
- 53.52°, d 1.712, intensity 20
- 57.93°, d 1.592, intensity 18
- 66.20°, d 1.412, intensity 15

Unit cell a=9.6644 b=3.2881 c=9.8605 alpha=90.00 beta=103.89 gamma=90.00
Atoms (fractional coordinates):
Mg1 0.9997 0.0000 0.1750
Mg2 0.0003 0.0000 0.8250
Cd1 0.4946 0.0000 0.6644
Cd2 0.5054 0.0000 0.3356
In1 0.0000 0.0000 0.5000
In2 0.2269 0.5000 0.0600
In3 0.2449 0.5000 0.7317
In4 0.2515 0.5000 0.3935
In5 0.5000 0.0000 0.0000
In6 0.7485 0.5000 0.6065
In7 0.7551 0.5000 0.2683
In8 0.7731 0.5000 0.9400

***

[2]
# SnPb4F10
Computed powder X-ray diffraction pattern, CuKα. Input: a GGA-PBE-relaxed structure.

Top 8 peaks for 2θ = 10–80°, in order of rising 2θ:
- 25.84°, d 3.448, intensity 100
- 29.92°, d 2.986, intensity 32
- 42.83°, d 2.111, intensity 58
- 50.70°, d 1.801, intensity 50
- 53.13°, d 1.724, intensity 10
- 68.48°, d 1.370, intensity 21
- 70.52°, d 1.335, intensity 14
- 78.46°, d 1.219, intensity 19

Unit cell a=17.4004 b=17.4004 c=17.4004 alpha=13.94 beta=13.94 gamma=13.94
Atoms (fractional coordinates):
Sn1 0.0000 0.0000 0.0000
Pb1 0.2002 0.2002 0.2002
Pb2 0.3992 0.3992 0.3992
Pb3 0.6008 0.6008 0.6008
Pb4 0.7998 0.7998 0.7998
F1 0.0488 0.0488 0.0488
F2 0.1500 0.1500 0.1500
F3 0.2507 0.2507 0.2507
F4 0.3491 0.3491 0.3491
F5 0.4496 0.4496 0.4496
F6 0.5504 0.5504 0.5504
F7 0.6509 0.6509 0.6509
F8 0.7493 0.7493 0.7493
F9 0.8500 0.8500 0.8500
F10 0.9512 0.9512 0.9512

***

[3]
# ZrCu2W
Computed powder X-ray diffraction pattern, CuKα. Input: a GGA-PBE-relaxed structure.

Top 8 peaks for 2θ = 10–80°, in order of rising 2θ:
- 22.98°, d 3.869, intensity 11
- 25.02°, d 3.559, intensity 14
- 39.41°, d 2.286, intensity 100
- 45.25°, d 2.004, intensity 34
- 46.97°, d 1.935, intensity 15
- 65.93°, d 1.417, intensity 11
- 67.27°, d 1.392, intensity 20
- 79.60°, d 1.204, intensity 24

Unit cell a=4.7960 b=4.7960 c=4.7960 alpha=130.61 beta=130.61 gamma=72.44
Atoms (fractional coordinates):
Zr1 0.0000 0.0000 0.0000
Cu1 0.2500 0.7500 0.5000
Cu2 0.7500 0.2500 0.5000
W1 0.5000 0.5000 0.0000

***

[4]
# KMgBr
Computed powder X-ray diffraction pattern, CuKα. Input: a GGA-PBE-relaxed structure.

Top 8 peaks for 2θ = 10–80°, in order of rising 2θ:
- 18.92°, d 4.690, intensity 52
- 21.88°, d 4.061, intensity 24
- 31.14°, d 2.872, intensity 100
- 36.70°, d 2.449, intensity 27
- 44.62°, d 2.031, intensity 18
- 48.88°, d 1.863, intensity 12
- 55.42°, d 1.658, intensity 36
- 73.78°, d 1.284, intensity 15

Unit cell a=5.7436 b=5.7436 c=5.7436 alpha=60.00 beta=60.00 gamma=60.00
Atoms (fractional coordinates):
K1 0.0000 0.0000 0.0000
Mg1 0.2500 0.2500 0.2500
Br1 0.7500 0.7500 0.7500